Calculated PXRD pattern of Lu2Ga3Ni14 for Cu Ka, from a crystal structure in Alexandria, relaxed with PBE.
No peak broadening, texture or thermal motion is included.

Principal peaks in the range 2θ = 10–90°, low angle first:
30.78 deg, I 386, hkl 1 1 2; 37.37 deg, I 408, hkl 3 0 0; 41.77 deg, I 389, hkl 2 0 3; 43.43 deg, I 612, hkl 2 2 0; 43.76 deg, I 1000, hkl 3 0 2; 44.74 deg, I 299, hkl 0 0 4; 49.17 deg, I 189, hkl 2 2 2; 71.84 deg, I 169, hkl 3 3 2; 79.70 deg, I 181, hkl 6 0 0; 81.78 deg, I 182, hkl 3 0 6

Structural model:
Cell: 8.3352 8.3352 8.1025 Å, 90.00 90.00 120.00°
Space group P6_3/mmc (No. 194)
Symmetry-distinct sites (fractional):
Lu (0.0000, 0.0000, 0.2500) (multiplicity 2)
Lu (0.3333, 0.6667, 0.2500) (multiplicity 2)
Ga (0.0000, 0.5000, 0.0000) (multiplicity 6)
Ni (0.0394, 0.3636, 0.7500) (multiplicity 12)
Ni (0.1651, 0.3302, 0.0244) (multiplicity 12)
Ni (0.3333, 0.6667, 0.6030) (multiplicity 4)